Starting from a cell relaxed with PBE+U, the X-ray diffraction stick pattern of Li5Ti3V2P6O24 was computed for Cu Kα.

```
40
Lattice="8.559 0.000 0.000 4.001 7.659 0.000 4.060 2.526 7.216" Properties=species:S:1:pos:R:3 pbc="T T T"
Li 0.000 0.000 0.000
Li 5.062 4.820 6.201
Li 6.308 7.648 3.930
Li 4.895 3.742 3.740
Li 11.104 5.839 5.926
Ti 4.020 4.032 0.197
Ti 8.910 7.080 2.333
Ti 8.362 1.536 3.819
V 6.526 5.573 1.262
V 10.758 3.047 4.895
P 2.310 1.454 1.637
P 9.188 8.832 5.184
P 7.768 4.770 4.531
P 6.584 1.985 0.982
P 13.529 7.849 6.698
P 12.043 5.897 3.066
O 1.262 1.275 0.567
O 4.450 5.151 2.060
O 4.315 2.468 5.204
O 3.330 2.550 1.299
O 6.300 4.473 4.783
O 6.937 7.679 1.894
O 9.173 8.271 6.664
O 8.517 7.881 4.172
O 8.398 5.636 5.654
O 7.822 5.499 3.129
O 6.049 3.442 0.681
O 10.647 9.086 4.813
O 5.472 1.046 1.454
O 8.668 3.494 4.449
O 8.599 6.007 0.586
O 7.643 2.108 2.083
O 10.694 6.256 2.452
O 11.216 3.975 6.855
O 13.679 8.843 5.479
O 12.830 6.565 6.295
O 11.816 4.903 4.247
O 12.781 7.195 3.480
O 10.315 1.845 3.064
O 14.990 7.601 7.147
```

Largest 6 diffraction maxima, in order of rising 2θ, 10 to 80 degrees two-theta:
- 2θ = 20.0°, intensity 30.7, (1 0 -1)
- 2θ = 23.6°, intensity 42.6, (0 1 2)
- 2θ = 23.9°, intensity 100.0, (1 2 0)
- 2θ = 32.5°, intensity 33.6, (1 2 3)
- 2θ = 32.9°, intensity 29.9, (3 1 2)
- 2θ = 34.9°, intensity 31.8, (-2 1 1)